Diffraction record for La12Si6Pb. The powder X-ray diffraction pattern is simulated, not measured: it uses a crystal structure in Alexandria, relaxed with GGA-PBE and Cu Kα (weighted mean of Kα1 and Kα2).
Lines closer than 0.1° are merged.

Atomic structure:
```
data_La12Si6Pb
_chemical_formula_sum 'La24 Si12 Pb2'
_space_group_name_H-M_alt 'I m -3'
_space_group_IT_number 204
_space_group_name_Hall '-I 2 2 3'
_cell_length_a 10.506
_cell_length_b 10.506
_cell_length_c 10.506
_cell_angle_alpha 90.00
_cell_angle_beta 90.00
_cell_angle_gamma 90.00
loop_
_atom_site_label
_atom_site_type_symbol
_atom_site_fract_x
_atom_site_fract_y
_atom_site_fract_z
La1 La 0.000 0.298 0.190
Si1 Si 0.000 0.112 0.500
Pb1 Pb 0.000 0.000 0.000
```

Peak list (10 most intense, 5 to 70 degrees two-theta, in order of falling intensity)
(3 1 2), 2θ = 31.9°, d 2.808, I = 100.0; (3 0 1), 2θ = 26.8°, d 3.322, I = 65.3; (2 2 2), 2θ = 29.5°, d 3.033, I = 62.9; (5 2 3), 2θ = 53.8°, d 1.704, I = 46.0; (5 3 0), 2θ = 50.7°, d 1.802, I = 43.1; (5 3 4), 2θ = 62.5°, d 1.486, I = 24.4; (4 0 0), 2θ = 34.1°, d 2.626, I = 23.3; (5 0 1), 2θ = 43.9°, d 2.060, I = 19.6; (6 0 0), 2θ = 52.2°, d 1.751, I = 11.4; (7 1 2), 2θ = 65.3°, d 1.430, I = 9.5

Diffraction record for La5SmPb2. The powder X-ray diffraction pattern is simulated, not measured: it uses a crystal structure in Alexandria, relaxed with GGA-PBE and Cu Kα (weighted mean of Kα1 and Kα2).
Lines closer than 0.1° are merged.

Atomic structure:
```
data_La5SmPb2
_chemical_formula_sum 'La10 Sm2 Pb4'
_space_group_name_H-M_alt 'P b a m'
_space_group_IT_number 55
_space_group_name_Hall '-P 2 2ab'
_cell_length_a 7.161
_cell_length_b 14.315
_cell_length_c 5.033
_cell_angle_alpha 90.00
_cell_angle_beta 90.00
_cell_angle_gamma 90.00
loop_
_atom_site_label
_atom_site_type_symbol
_atom_site_fract_x
_atom_site_fract_y
_atom_site_fract_z
La1 La 0.000 0.000 0.000
La2 La 0.009 0.252 0.000
La3 La 0.245 0.875 0.500
Sm1 Sm 0.000 0.500 0.000
Pb1 Pb 0.242 0.623 0.500
```

Peak list (10 most intense, 5 to 70 degrees two-theta, in order of falling intensity)
(0 4 1), 2θ = 30.6°, d 2.917, I = 100.0; (2 4 0), 2θ = 35.5°, d 2.531, I = 33.9; (2 8 1), 2θ = 60.7°, d 1.526, I = 28.4; (2 4 2), 2θ = 51.2°, d 1.785, I = 24.0; (0 0 2), 2θ = 35.7°, d 2.516, I = 16.8; (0 4 3), 2θ = 61.0°, d 1.519, I = 14.2; (0 8 2), 2θ = 63.8°, d 1.459, I = 12.3; (0 8 0), 2θ = 51.0°, d 1.790, I = 12.0; (1 2 1), 2θ = 24.9°, d 3.572, I = 2.6; (1 2 0), 2θ = 17.5°, d 5.062, I = 2.0

Diffraction record for La5Sm5Pb6. The powder X-ray diffraction pattern is simulated, not measured: it uses a crystal structure in Alexandria, relaxed with GGA-PBE and Cu Kα (weighted mean of Kα1 and Kα2).
Lines closer than 0.1° are merged.

Atomic structure:
```
data_La5Sm5Pb6
_chemical_formula_sum 'La10 Sm10 Pb12'
_space_group_name_H-M_alt 'A m m 2'
_space_group_IT_number 38
_space_group_name_Hall 'A 2 -2'
_cell_length_a 6.930
_cell_length_b 16.394
_cell_length_c 9.441
_cell_angle_alpha 90.00
_cell_angle_beta 90.00
_cell_angle_gamma 90.00
loop_
_atom_site_label
_atom_site_type_symbol
_atom_site_fract_x
_atom_site_fract_y
_atom_site_fract_z
La1 La 0.000 0.000 0.000
La2 La 0.252 0.166 0.264
Sm1 Sm 0.000 0.119 0.645
Sm2 Sm 0.500 0.000 0.529
Sm3 Sm 0.500 0.120 0.881
Pb1 Pb 0.000 0.000 0.377
Pb2 Pb 0.000 0.198 0.959
Pb3 Pb 0.500 0.000 0.152
Pb4 Pb 0.500 0.195 0.569
```

Peak list (10 most intense, 5 to 70 degrees two-theta, in order of falling intensity)
(1 4 2), 2θ = 31.7°, d 2.825, I = 100.0; (2 3 1), 2θ = 32.0°, d 2.795, I = 69.1; (0 3 3), 2θ = 32.8°, d 2.729, I = 40.4; (3 4 2), 2θ = 49.2°, d 1.851, I = 29.6; (2 0 0), 2θ = 25.7°, d 3.465, I = 27.0; (0 4 2), 2θ = 28.9°, d 3.094, I = 21.4; (1 7 1), 2θ = 41.9°, d 2.158, I = 17.2; (2 0 4), 2θ = 46.5°, d 1.952, I = 15.6; (2 5 5), 2θ = 62.8°, d 1.480, I = 14.8; (1 0 4), 2θ = 40.3°, d 2.237, I = 14.3

Diffraction record for LaSm3Pb2. The powder X-ray diffraction pattern is simulated, not measured: it uses a crystal structure in Alexandria, relaxed with GGA-PBE and Cu Kα (weighted mean of Kα1 and Kα2).
Lines closer than 0.1° are merged.

Atomic structure:
```
data_LaSm3Pb2
_chemical_formula_sum 'La1 Sm3 Pb2'
_space_group_name_H-M_alt 'P -4 m 2'
_space_group_IT_number 115
_space_group_name_Hall 'P -4 -2'
_cell_length_a 4.659
_cell_length_b 4.659
_cell_length_c 8.927
_cell_angle_alpha 90.00
_cell_angle_beta 90.00
_cell_angle_gamma 90.00
loop_
_atom_site_label
_atom_site_type_symbol
_atom_site_fract_x
_atom_site_fract_y
_atom_site_fract_z
La1 La 0.000 0.000 0.000
Sm1 Sm 0.000 0.500 0.349
Sm2 Sm 0.500 0.500 0.000
Pb1 Pb 0.000 0.500 0.713
```

Peak list (10 most intense, 5 to 70 degrees two-theta, in order of falling intensity)
(1 1 2), 2θ = 33.8°, d 2.651, I = 100.0; (1 1 1), 2θ = 28.9°, d 3.091, I = 83.3; (2 0 0), 2θ = 38.6°, d 2.330, I = 61.8; (0 0 3), 2θ = 30.0°, d 2.976, I = 42.7; (2 0 3), 2θ = 49.7°, d 1.834, I = 42.6; (3 1 2), 2θ = 66.9°, d 1.399, I = 28.3; (1 1 0), 2θ = 27.1°, d 3.295, I = 28.0; (1 0 3), 2θ = 35.8°, d 2.508, I = 24.7; (2 2 0), 2θ = 55.8°, d 1.647, I = 21.4; (2 2 3), 2θ = 64.7°, d 1.441, I = 19.4